Diffraction record for Pa2NbSe. The PXRD pattern is simulated, not measured: it uses a PBE-relaxed structure and Cu Kα X-rays.
Kinematic intensities with the Lorentz-polarization factor, no thermal factor.

Top 10 peaks for 5 to 70 degrees two-theta, by angle:
23.66 deg, I 31, hkl 1 0 0
28.72 deg, I 9, hkl 0 0 2
33.71 deg, I 68, hkl 1 1 0
37.54 deg, I 100, hkl 1 0 2
44.86 deg, I 12, hkl 1 1 2
48.42 deg, I 25, hkl 2 0 0
54.58 deg, I 7, hkl 2 1 0
57.27 deg, I 6, hkl 2 0 2
59.48 deg, I 6, hkl 0 0 4
62.83 deg, I 45, hkl 2 1 2

Crystal structure
Lattice parameters (Å, degrees): 3.7600 3.7600 6.2167 90.00 90.00 90.00
Fractional coordinates of all 4 atoms:
Pa  0.0000  0.0000  0.2378
Pa  0.0000  0.0000  0.7622
Nb  0.5000  0.5000  0.5000
Se  0.5000  0.5000  0.0000